CoH6Se2O8: simulated powder XRD pattern (Cu Kα X-rays), based on a cell relaxed with GGA+U.
Kinematic intensities with the Lorentz-polarization factor, no thermal factor.

a = 6.9688 Å, b = 6.7389 Å, c = 8.2300 Å
α = 90.00°, β = 120.39°, γ = 90.00°
Fractional coordinates of all 34 atoms:
Co 0.0000 0.0000 0.0000
Co 0.0000 0.5000 0.5000
H 0.1123 0.2142 0.3686
H 0.1123 0.2858 0.8686
H 0.2122 0.1560 0.5860
H 0.2122 0.3440 0.0860
H 0.5001 0.0183 0.2469
H 0.5001 0.4817 0.7469
H 0.4999 0.5183 0.2531
H 0.4999 0.9817 0.7531
H 0.7878 0.6560 0.9140
H 0.7878 0.8440 0.4140
H 0.8877 0.7142 0.1314
H 0.8877 0.7858 0.6314
Se 0.3416 0.7306 0.3932
Se 0.3416 0.7694 0.8932
Se 0.6584 0.2306 0.1068
Se 0.6584 0.2694 0.6068
O 0.0780 0.6801 0.3446
O 0.0780 0.8199 0.8446
O 0.2033 0.2340 0.0022
O 0.2033 0.2660 0.5022
O 0.2980 0.5616 0.7594
O 0.2980 0.9384 0.2594
O 0.3451 0.5431 0.2360
O 0.3451 0.9569 0.7360
O 0.6549 0.0431 0.2640
O 0.6549 0.4569 0.7640
O 0.7020 0.0616 0.7406
O 0.7020 0.4384 0.2406
O 0.7967 0.7340 0.4978
O 0.7967 0.7660 0.9978
O 0.9220 0.1801 0.1554
O 0.9220 0.3199 0.6554

The 6 most intense peaks (2θ from 5° to 70°), in order of rising 2θ:
2θ 18.15, I = 504, hkl 0 1 1
2θ 19.79, I = 1000, hkl 1 1 0
2θ 27.53, I = 328, hkl 2 0 -2
2θ 28.42, I = 819, hkl 0 1 2
2θ 32.62, I = 418, hkl 2 1 0
2θ 34.47, I = 848, hkl 1 2 -2